(1)
For Ba6Ta2C, DFT lattice parameters and positions (GGA-PBE) gives the computed powder X-ray diffraction pattern in this record (Cu Kα X-rays).

Cell and atoms:
Cell: 7.962 7.962 7.962 Å, 60.01 60.01 60.01°
Element x y z (fractional)
1 Ba 0.257 0.257 0.743
2 Ba 0.257 0.743 0.257
3 Ba 0.257 0.743 0.743
4 Ba 0.743 0.257 0.257
5 Ba 0.743 0.257 0.743
6 Ba 0.743 0.743 0.257
7 Ta 0.250 0.250 0.250
8 Ta 0.750 0.750 0.750
9 C 0.500 0.500 0.500

Most intense lines, 2θ from 10° to 90°, sorted by position:
2θ/deg, Rel. int.
22.33, 2.2
27.44, 100.0
31.78, 53.2
45.57, 38.6
54.01, 45.0
56.62, 13.4
66.41, 6.2
73.28, 18.2
75.51, 17.2
84.25, 13.1



(2)
For Dy2YSc3P2Os, DFT lattice parameters and positions (GGA-PBE) gives the computed powder X-ray diffraction pattern in this record (Cu Kα X-rays).

Cell and atoms:
Cell: 4.065 7.412 7.412 Å, 119.82 90.00 90.00°
Element x y z (fractional)
1 Dy 0.000 0.207 0.793
2 Dy 0.000 0.793 0.207
3 Y 0.000 0.380 0.380
4 Sc 0.500 0.034 0.034
5 Sc 0.500 0.552 0.794
6 Sc 0.500 0.794 0.552
7 P 0.500 0.127 0.460
8 P 0.500 0.460 0.127
9 Os 0.000 0.794 0.794

Most intense lines, 2θ from 10° to 90°, sorted by position:
2θ/deg, Rel. int.
13.77, 27.6
21.87, 31.8
24.00, 17.2
27.77, 48.9
32.68, 56.0
35.62, 100.0
42.16, 15.7
44.58, 19.8
53.34, 16.7
67.66, 17.6